Diffraction record for Pm5HoZn6. The powder X-ray diffraction pattern is computed, not measured: it uses DFT lattice parameters and positions (PBE) and Cu Kα X-rays.
Lines closer than 0.1° are merged.

Main lines, by intensity (2θ from 10° to 90°):
d [Å]	I/Imax
2.575	100
1.487	29
1.820	21
2.568	20
3.640	18
1.484	14
1.288	11
1.152	9

Cell and atoms:
Unit cell a=5.136 b=15.464 c=7.288 alpha=90.00 beta=90.00 gamma=90.00
Space group Cmmm (No. 65)
Asymmetric unit:
1 Pm 0.000 0.000 0.000 [2 per cell]
2 Pm 0.000 0.332 0.000 [4 per cell]
3 Pm 0.000 0.334 0.500 [4 per cell]
4 Ho 0.000 0.000 0.500 [2 per cell]
5 Zn 0.000 0.163 0.254 [8 per cell]
6 Zn 0.000 0.500 0.256 [4 per cell]